Starting from a cell relaxed with GGA+U, the X-ray diffraction stick pattern of Li3CrCo4O8 was computed for Cu Kα, 1.54184 Å.

Atomic structure:
```
Li3CrCo4O8
1.0
5.0767 -2.9144 0.0000
5.0767 2.9144 0.0000
-3.3487 0.0000 4.8350
Li Cr Co O
3 1 4 8
Direct
0.0000 0.0000 0.0000
0.0000 0.5000 0.0000
0.5000 0.0000 0.0000
0.5000 0.5000 0.5000
0.0000 0.0000 0.5000
0.0000 0.5000 0.5000
0.5000 0.0000 0.5000
0.5000 0.5000 0.0000
0.2437 0.7289 0.7302
0.2489 0.2489 0.7194
0.2567 0.2567 0.2787
0.2711 0.7563 0.2698
0.7289 0.2437 0.7302
0.7433 0.7433 0.7213
0.7511 0.7511 0.2806
0.7563 0.2711 0.2698
```

Principal peaks in the range 15° ≤ 2θ ≤ 90°, in order of rising 2θ:
18.35 deg, rel. 89
18.56 deg, rel. 30
36.09 deg, rel. 23
37.19 deg, rel. 16
37.64 deg, rel. 43
43.36 deg, rel. 51
43.73 deg, rel. 100
62.98 deg, rel. 28
63.58 deg, rel. 28
80.36 deg, rel. 19



Starting from a cell relaxed with GGA+U, the X-ray diffraction stick pattern of MoPO5 was computed for Cu Kα, 1.54184 Å.

Atomic structure:
```
MoPO5
1.0
6.2826 0.0000 0.0000
0.0000 6.2826 0.0000
0.0000 0.0000 4.6314
Mo P O
2 2 10
Direct
0.2500 0.2500 0.2089
0.7500 0.7500 0.7911
0.2500 0.7500 0.5000
0.7500 0.2500 0.5000
0.0577 0.6959 0.6936
0.1959 0.9423 0.3064
0.2500 0.2500 0.8409
0.3041 0.5577 0.3064
0.4423 0.8041 0.6936
0.5577 0.1959 0.3064
0.6959 0.4423 0.6936
0.7500 0.7500 0.1591
0.8041 0.0577 0.6936
0.9423 0.3041 0.3064
```

Principal peaks in the range 15° ≤ 2θ ≤ 90°, in order of rising 2θ:
19.99 deg, rel. 27
23.87 deg, rel. 100
27.83 deg, rel. 38
28.41 deg, rel. 71
37.44 deg, rel. 20
44.10 deg, rel. 21
45.66 deg, rel. 20
47.66 deg, rel. 22
56.42 deg, rel. 15
61.50 deg, rel. 25



Starting from a cell relaxed with GGA+U, the X-ray diffraction stick pattern of Li3MnCo2O6 was computed for Cu Kα, 1.54184 Å.

Atomic structure:
```
Li3MnCo2O6
1.0
4.9849 -1.5225 0.0000
4.9849 1.5225 0.0000
-3.3978 0.0000 7.3143
Li Mn Co O
3 1 2 6
Direct
0.0000 0.0000 0.0000
0.3326 0.3326 0.6665
0.6674 0.6674 0.3335
0.0000 0.0000 0.5000
0.3310 0.3310 0.1652
0.6690 0.6690 0.8348
0.0098 0.0098 0.7436
0.3281 0.3281 0.9259
0.3365 0.3365 0.4069
0.6635 0.6635 0.5931
0.6719 0.6719 0.0741
0.9902 0.9902 0.2564
```

Principal peaks in the range 15° ≤ 2θ ≤ 90°, in order of rising 2θ:
18.21 deg, rel. 100
34.92 deg, rel. 33
36.88 deg, rel. 16
37.00 deg, rel. 10
42.19 deg, rel. 57
44.97 deg, rel. 23
47.37 deg, rel. 9
55.82 deg, rel. 10
62.89 deg, rel. 14
63.82 deg, rel. 14



Starting from a cell relaxed with GGA+U, the X-ray diffraction stick pattern of BaNaPrWO6 was computed for Cu Kα, 1.54184 Å.

Atomic structure:
```
BaNaPrWO6
1.0
0.0000 4.3086 4.3086
4.3086 0.0000 4.3086
4.3086 4.3086 0.0000
Ba Na Pr W O
1 1 1 1 6
Direct
0.0000 0.0000 0.0000
0.5000 0.5000 0.5000
0.7500 0.7500 0.7500
0.2500 0.2500 0.2500
0.0230 0.0230 0.4770
0.0230 0.4770 0.0230
0.0230 0.4770 0.4770
0.4770 0.0230 0.0230
0.4770 0.0230 0.4770
0.4770 0.4770 0.0230
```

Principal peaks in the range 15° ≤ 2θ ≤ 90°, in order of rising 2θ:
17.83 deg, rel. 16
20.61 deg, rel. 25
29.31 deg, rel. 100
34.52 deg, rel. 8
41.94 deg, rel. 31
47.17 deg, rel. 10
51.99 deg, rel. 41
60.81 deg, rel. 19
68.92 deg, rel. 19
84.05 deg, rel. 22



Starting from a cell relaxed with GGA+U, the X-ray diffraction stick pattern of Na2CaMnAl2P2H2O10F4 was computed for Cu Kα, 1.54184 Å.

Atomic structure:
```
Na2CaMnAl2P2H2O10F4
1.0
5.5315 0.0000 0.0000
2.2558 6.5760 0.0000
0.0000 0.0785 7.2171
Na Ca Mn Al P H O F
2 1 1 2 2 2 10 4
Direct
0.0258 0.4626 0.2463
0.9742 0.5374 0.7537
0.0000 0.0000 0.5000
0.0000 0.0000 0.0000
0.5000 0.5000 0.0000
0.5000 0.5000 0.5000
0.4616 0.1376 0.7583
0.5384 0.8624 0.2417
0.4764 0.7307 0.7502
0.5236 0.2693 0.2498
0.2538 0.0051 0.2336
0.2717 0.0145 0.7601
0.4001 0.2821 0.9255
0.4187 0.2672 0.5773
0.4675 0.4193 0.2510
0.5325 0.5807 0.7490
0.5813 0.7328 0.4227
0.5999 0.7179 0.0745
0.7283 0.9855 0.2399
0.7462 0.9949 0.7664
0.1531 0.6521 0.5018
0.1538 0.6652 0.9971
0.8462 0.3348 0.0029
0.8469 0.3479 0.4982
```

Principal peaks in the range 15° ≤ 2θ ≤ 90°, in order of rising 2θ:
17.92 deg, rel. 33
27.12 deg, rel. 63
29.76 deg, rel. 44
30.01 deg, rel. 34
30.58 deg, rel. 91
30.73 deg, rel. 100
34.28 deg, rel. 55
41.20 deg, rel. 76
50.59 deg, rel. 60
56.10 deg, rel. 31



Starting from a cell relaxed with GGA+U, the X-ray diffraction stick pattern of K2FeP2H3O8F2 was computed for Cu Kα, 1.54184 Å.

Atomic structure:
```
K2FeP2H3O8F2
1.0
7.2394 0.0000 0.0000
0.2045 7.2441 0.0000
0.3664 0.3515 7.5170
K Fe P H O F
4 2 4 6 16 4
Direct
0.0000 0.0000 0.0000
0.1999 0.9850 0.4024
0.4408 0.6862 0.2740
0.6762 0.7789 0.9121
0.0076 0.5274 0.6669
0.7446 0.1076 0.5173
0.1432 0.4058 0.0846
0.3118 0.1936 0.7623
0.5632 0.5069 0.6095
0.7445 0.3060 0.1423
0.1687 0.5972 0.0601
0.3229 0.9109 0.9003
0.4860 0.9101 0.5796
0.7845 0.9173 0.2846
0.8830 0.0559 0.3513
0.9474 0.7459 0.4188
0.1123 0.2622 0.2305
0.1762 0.3363 0.8787
0.2611 0.9968 0.7285
0.3717 0.9524 0.0196
0.3868 0.3709 0.1610
0.4507 0.1231 0.9332
0.4786 0.2941 0.6624
0.5419 0.9639 0.4693
0.5689 0.4450 0.0661
0.7234 0.3292 0.3531
0.7504 0.4782 0.6959
0.7901 0.7930 0.2261
0.8679 0.8208 0.5908
0.9077 0.4528 0.0547
0.9705 0.7273 0.2837
0.9767 0.7731 0.7427
0.1648 0.2716 0.5947
0.1947 0.6140 0.5014
0.4334 0.6108 0.7705
0.8129 0.1259 0.7502
```

Principal peaks in the range 15° ≤ 2θ ≤ 90°, in order of rising 2θ:
20.15 deg, rel. 43
21.19 deg, rel. 23
26.85 deg, rel. 29
27.26 deg, rel. 100
27.87 deg, rel. 26
30.56 deg, rel. 56
33.57 deg, rel. 29
35.23 deg, rel. 25
38.64 deg, rel. 25
40.20 deg, rel. 24



Starting from a cell relaxed with GGA+U, the X-ray diffraction stick pattern of CaWO2 was computed for Cu Kα, 1.54184 Å.

Atomic structure:
```
CaWO2
1.0
3.1598 0.0000 0.0000
1.5402 8.2095 0.0000
1.5415 0.0687 8.3821
Ca W O
4 4 8
Direct
0.0000 0.0000 0.0000
0.0150 0.2483 0.6711
0.2750 0.6713 0.7432
0.2910 0.9223 0.4109
0.2863 0.3510 0.0329
0.6259 0.2958 0.3215
0.6515 0.6208 0.0934
0.9857 0.5674 0.3790
0.3687 0.1338 0.1845
0.4672 0.1697 0.8560
0.5063 0.4518 0.5349
0.6351 0.8039 0.9191
0.6529 0.1129 0.4952
0.8036 0.4680 0.8794
0.8219 0.7510 0.5527
0.9550 0.7754 0.2197
```

Principal peaks in the range 15° ≤ 2θ ≤ 90°, in order of rising 2θ:
15.17 deg, rel. 22
32.03 deg, rel. 28
32.73 deg, rel. 22
33.10 deg, rel. 26
33.98 deg, rel. 32
34.39 deg, rel. 28
36.38 deg, rel. 42
36.63 deg, rel. 100
42.70 deg, rel. 25
42.98 deg, rel. 39



Starting from a cell relaxed with GGA+U, the X-ray diffraction stick pattern of MnH16C4NO2F4 was computed for Cu Kα, 1.54184 Å.

Atomic structure:
```
MnH16C4NO2F4
1.0
8.1318 -2.8059 0.0000
8.1318 2.8059 0.0000
-1.4877 0.0000 10.7688
Mn H C N O F
2 32 8 2 4 8
Direct
0.0000 0.5000 0.0000
0.5000 0.0000 0.5000
0.0185 0.8042 0.8758
0.0295 0.7928 0.2580
0.0882 0.4832 0.3878
0.1026 0.8858 0.3866
0.1047 0.7095 0.5948
0.1142 0.8974 0.1134
0.1958 0.9815 0.6242
0.2072 0.9705 0.2420
0.2432 0.2895 0.2750
0.2895 0.2432 0.7750
0.2905 0.8953 0.9052
0.3031 0.4984 0.7197
0.4209 0.5394 0.6223
0.4606 0.5791 0.8777
0.4832 0.0882 0.8878
0.4984 0.3031 0.2197
0.5016 0.6969 0.7803
0.5168 0.9118 0.1122
0.5394 0.4209 0.1223
0.5791 0.4606 0.3777
0.6969 0.5016 0.2803
0.7095 0.1047 0.0948
0.7105 0.7568 0.2250
0.7568 0.7105 0.7250
0.7928 0.0295 0.7580
0.8042 0.0185 0.3758
0.8858 0.1026 0.8866
0.8953 0.2905 0.4052
0.8974 0.1142 0.6134
0.9118 0.5168 0.6122
0.9705 0.2072 0.7420
0.9815 0.1958 0.1242
0.0469 0.0531 0.6764
0.0531 0.0469 0.1764
0.2529 0.6326 0.6649
0.3674 0.7471 0.8351
0.6326 0.2529 0.1649
0.7471 0.3674 0.3351
0.9469 0.9531 0.8236
0.9531 0.9469 0.3236
0.1542 0.8458 0.7500
0.8458 0.1542 0.2500
0.2612 0.3176 0.3646
0.3176 0.2612 0.8646
0.6824 0.7388 0.1354
0.7388 0.6824 0.6354
0.0744 0.6495 0.0605
0.2401 0.2410 0.6192
0.2410 0.2401 0.1192
0.3505 0.9256 0.4395
0.6495 0.0744 0.5605
0.7590 0.7599 0.8808
0.7599 0.7590 0.3808
0.9256 0.3505 0.9395
```

Principal peaks in the range 15° ≤ 2θ ≤ 90°, in order of rising 2θ:
18.32 deg, rel. 31
18.53 deg, rel. 65
18.99 deg, rel. 100
21.06 deg, rel. 33
22.07 deg, rel. 44
23.59 deg, rel. 44
29.42 deg, rel. 54
36.10 deg, rel. 16
37.14 deg, rel. 31
50.08 deg, rel. 16